The following is a computed X-ray powder pattern of Sm12Ga6Ru. It was derived from a PBE-relaxed structure, using Cu Kα (weighted mean of Kα1 and Kα2).

Atomic structure:
```
Sm12Ga6Ru
1.0
6.496 3.750 4.061
-6.496 3.750 4.061
0.000 -7.501 4.061
Sm Ga Ru
12 6 1
Direct
0.032 0.935 0.682
0.065 0.318 0.968
0.182 0.566 0.430
0.318 0.968 0.065
0.430 0.182 0.566
0.434 0.570 0.818
0.566 0.430 0.182
0.570 0.818 0.434
0.682 0.032 0.935
0.818 0.434 0.570
0.935 0.682 0.032
0.968 0.065 0.318
0.136 0.301 0.630
0.301 0.630 0.136
0.370 0.864 0.699
0.630 0.136 0.301
0.699 0.370 0.864
0.864 0.699 0.370
0.000 0.000 0.000
```

Peak list (10 most intense, 10 to 90 degrees two-theta, by intensity)
| 2θ/deg | d [Å] | Rel. int. |
| --- | --- | --- |
| 36.6 | 2.455 | 100 |
| 25.5 | 3.487 | 100 |
| 36.3 | 2.476 | 97 |
| 32.2 | 2.777 | 84 |
| 30.4 | 2.940 | 49 |
| 22.1 | 4.015 | 37 |
| 52.5 | 1.743 | 32 |
| 53.2 | 1.722 | 25 |
| 21.5 | 4.133 | 24 |
| 69.8 | 1.348 | 22 |